This entry pairs a crystal structure of Li4VFeTe2O12 with its computed powder diffractogram. Radiation: copper Kα. Structure: a DFT-relaxed cell (GGA+U, Alexandria).

Top 12 peaks for 2θ from 10° to 80°, low angle first:
(0 1 -1), d 4.505, I = 12
(1 0 1), d 4.215, I = 28
(0 0 2), d 3.724, I = 51
(1 1 0), d 3.701, I = 100
(1 -1 2), d 2.688, I = 55
(-1 1 2), d 2.569, I = 11
(1 1 2), d 2.558, I = 22
(2 0 -2), d 2.109, I = 12
(1 -1 4), d 1.696, I = 14
(1 -3 0), d 1.691, I = 14
(2 2 -2), d 1.688, I = 13
(3 1 -2), d 1.500, I = 10

Structure:
Unit cell a=5.109 b=5.382 c=7.466 alpha=93.95 beta=90.09 gamma=90.20
Space group P1 (No. 1)
One atom of each set of equivalent atoms:
Li 0.000 0.000 0.000
Li 0.000 0.018 0.506
Li 0.495 0.490 0.515
Li 0.503 0.514 0.988
V 0.000 0.569 0.224
Fe 0.499 0.073 0.717
Te 0.006 0.584 0.722
Te 0.497 0.073 0.212
O 0.127 0.607 0.967
O 0.174 0.907 0.268
O 0.190 0.289 0.641
O 0.298 0.773 0.636
O 0.304 0.410 0.269
O 0.376 0.115 0.973
O 0.624 0.110 0.451
O 0.684 0.415 0.759
O 0.698 0.786 0.135
O 0.805 0.296 0.143
O 0.833 0.903 0.758
O 0.877 0.597 0.446